# 1
The following is a computed PXRD pattern of CrO2. It was derived from the GGA+U geometry in the Materials Project, using a wavelength of 1.5418 Å.
Neutral-atom scattering factors, no anomalous dispersion.

Main lines, in order of falling intensity (15 to 90 degrees two-theta):
| two_theta | intensity |
| --- | --- |
| 20.5 | 100 |
| 19.9 | 94 |
| 36.1 | 74 |
| 35.5 | 41 |
| 51.0 | 33 |
| 34.5 | 31 |
| 63.9 | 28 |
| 36.4 | 27 |
| 52.0 | 26 |
| 17.0 | 20 |

Cell and atoms:
Cell lengths 8.6804, 2.9987, 10.4038 Å; angles 90.00, 90.00, 90.00 degrees
Fractional positions:
1 Cr 0.0573 0.2500 0.1150
2 Cr 0.0842 0.2500 0.6051
3 Cr 0.4158 0.7500 0.1051
4 Cr 0.4427 0.7500 0.6150
5 Cr 0.5573 0.2500 0.3850
6 Cr 0.5842 0.2500 0.8949
7 Cr 0.9158 0.7500 0.3949
8 Cr 0.9427 0.7500 0.8850
9 O 0.0284 0.7500 0.7177
10 O 0.0785 0.2500 0.9316
11 O 0.1108 0.7500 0.4841
12 O 0.2013 0.7500 0.1413
13 O 0.2987 0.2500 0.6413
14 O 0.3892 0.2500 0.9841
15 O 0.4215 0.7500 0.4316
16 O 0.4716 0.2500 0.2177
17 O 0.5284 0.7500 0.7823
18 O 0.5785 0.2500 0.5684
19 O 0.6108 0.7500 0.0159
20 O 0.7013 0.7500 0.3587
21 O 0.7987 0.2500 0.8587
22 O 0.8892 0.2500 0.5159
23 O 0.9215 0.7500 0.0684
24 O 0.9716 0.2500 0.2823

# 2
The following is a computed PXRD pattern of Li9Mn2Co5O16. It was derived from the GGA+U geometry in the Materials Project, using a wavelength of 1.5418 Å.
Neutral-atom scattering factors, no anomalous dispersion.

Main lines, in order of falling intensity (15 to 90 degrees two-theta):
| two_theta | intensity |
| --- | --- |
| 18.5 | 100 |
| 41.9 | 32 |
| 44.5 | 26 |
| 45.0 | 25 |
| 34.9 | 18 |
| 63.0 | 15 |
| 36.5 | 12 |
| 37.0 | 12 |
| 65.7 | 9 |
| 37.5 | 9 |

Cell and atoms:
Cell lengths 5.0246, 5.8839, 9.6653 Å; angles 83.60, 85.88, 86.96 degrees
Fractional positions:
1 Li 0.0000 0.0000 0.0000
2 Li 0.1173 0.1846 0.2454
3 Li 0.1276 0.6917 0.2468
4 Li 0.3635 0.0555 0.7575
5 Li 0.3692 0.5585 0.7552
6 Li 0.6308 0.4415 0.2448
7 Li 0.6365 0.9445 0.2425
8 Li 0.8724 0.3083 0.7532
9 Li 0.8827 0.8154 0.7546
10 Mn 0.2510 0.3716 0.5012
11 Mn 0.7490 0.6284 0.4988
12 Co 0.0000 0.5000 0.0000
13 Co 0.2506 0.8774 0.4994
14 Co 0.4937 0.7544 0.9992
15 Co 0.5063 0.2456 0.0008
16 Co 0.7494 0.1226 0.5006
17 O 0.0458 0.0752 0.6184
18 O 0.0517 0.5824 0.6191
19 O 0.1967 0.2882 0.8904
20 O 0.2072 0.7725 0.8894
21 O 0.3330 0.4831 0.1071
22 O 0.3478 0.9785 0.1077
23 O 0.4441 0.6747 0.3820
24 O 0.4498 0.1645 0.3850
25 O 0.5502 0.8355 0.6150
26 O 0.5559 0.3253 0.6180
27 O 0.6522 0.0215 0.8923
28 O 0.6670 0.5169 0.8929
29 O 0.7928 0.2275 0.1106
30 O 0.8033 0.7118 0.1096
31 O 0.9483 0.4176 0.3809
32 O 0.9542 0.9248 0.3816

# 3
The following is a computed PXRD pattern of MoW11O36. It was derived from the GGA+U geometry in the Materials Project, using a wavelength of 1.5418 Å.
Neutral-atom scattering factors, no anomalous dispersion.

Main lines, in order of falling intensity (15 to 90 degrees two-theta):
| two_theta | intensity |
| --- | --- |
| 27.4 | 100 |
| 36.1 | 65 |
| 23.0 | 60 |
| 55.3 | 29 |
| 54.4 | 27 |
| 48.5 | 26 |
| 26.9 | 22 |
| 23.7 | 21 |
| 62.0 | 19 |
| 69.9 | 17 |

Cell and atoms:
Cell lengths 3.8614, 7.5070, 25.9974 Å; angles 90.00, 90.00, 90.00 degrees
Fractional positions:
1 Mo 0.0000 0.0000 0.0000
2 W 0.0000 0.0000 0.5000
3 W 0.0000 0.2499 0.1257
4 W 0.0000 0.2499 0.8743
5 W 0.0000 0.2506 0.3759
6 W 0.0000 0.2506 0.6241
7 W 0.0000 0.5000 0.2510
8 W 0.0000 0.5000 0.7490
9 W 0.0000 0.7494 0.3759
10 W 0.0000 0.7494 0.6241
11 W 0.0000 0.7501 0.1257
12 W 0.0000 0.7501 0.8743
13 O 0.0000 0.0000 0.1441
14 O 0.0000 0.0000 0.3584
15 O 0.0000 0.0000 0.6416
16 O 0.0000 0.0000 0.8559
17 O 0.0000 0.1771 0.0542
18 O 0.0000 0.1771 0.9458
19 O 0.0000 0.1807 0.4472
20 O 0.0000 0.1807 0.5528
21 O 0.0000 0.3206 0.1975
22 O 0.0000 0.3208 0.3043
23 O 0.0000 0.3208 0.6957
24 O 0.0000 0.3206 0.8025
25 O 0.0000 0.5000 0.1069
26 O 0.0000 0.5000 0.3945
27 O 0.0000 0.5000 0.6055
28 O 0.0000 0.5000 0.8931
29 O 0.0000 0.6794 0.1975
30 O 0.0000 0.6792 0.3043
31 O 0.0000 0.6792 0.6957
32 O 0.0000 0.6794 0.8025
33 O 0.0000 0.8193 0.4472
34 O 0.0000 0.8193 0.5528
35 O 0.0000 0.8229 0.0542
36 O 0.0000 0.8229 0.9458
37 O 0.5000 0.0000 0.0000
38 O 0.5000 0.0000 0.5000
39 O 0.5000 0.2490 0.1264
40 O 0.5000 0.2490 0.8736
41 O 0.5000 0.2513 0.3757
42 O 0.5000 0.2513 0.6243
43 O 0.5000 0.5000 0.2516
44 O 0.5000 0.5000 0.7484
45 O 0.5000 0.7487 0.3757
46 O 0.5000 0.7487 0.6243
47 O 0.5000 0.7510 0.1264
48 O 0.5000 0.7510 0.8736

# 4
The following is a computed PXRD pattern of Mn5O8. It was derived from the GGA+U geometry in the Materials Project, using a wavelength of 1.5418 Å.
Neutral-atom scattering factors, no anomalous dispersion.

Main lines, in order of falling intensity (15 to 90 degrees two-theta):
| two_theta | intensity |
| --- | --- |
| 28.3 | 100 |
| 31.6 | 89 |
| 47.3 | 69 |
| 37.8 | 67 |
| 18.0 | 59 |
| 57.3 | 58 |
| 35.8 | 52 |
| 36.4 | 50 |
| 65.1 | 48 |
| 21.4 | 42 |

Cell and atoms:
Cell lengths 5.9854, 5.9854, 4.9447 Å; angles 106.89, 106.89, 58.14 degrees
Fractional positions:
1 Mn 0.0000 0.0000 0.0000
2 Mn 0.2593 0.7407 0.5000
3 Mn 0.2792 0.2792 0.8437
4 Mn 0.7208 0.7208 0.1563
5 Mn 0.7407 0.2593 0.5000
6 O 0.1033 0.1033 0.4082
7 O 0.1142 0.6626 0.1053
8 O 0.3374 0.8858 0.8947
9 O 0.3946 0.3946 0.5674
10 O 0.6054 0.6054 0.4326
11 O 0.6626 0.1142 0.1053
12 O 0.8858 0.3374 0.8947
13 O 0.8967 0.8967 0.5918

# 5
The following is a computed PXRD pattern of LiCo3O6. It was derived from the GGA+U geometry in the Materials Project, using a wavelength of 1.5418 Å.
Neutral-atom scattering factors, no anomalous dispersion.

Main lines, in order of falling intensity (15 to 90 degrees two-theta):
| two_theta | intensity |
| --- | --- |
| 17.7 | 100 |
| 37.8 | 29 |
| 45.9 | 20 |
| 66.1 | 11 |
| 59.7 | 11 |
| 41.0 | 10 |
| 46.0 | 10 |
| 52.2 | 6 |
| 69.0 | 6 |
| 69.1 | 6 |

Cell and atoms:
Cell lengths 4.8971, 4.8971, 10.4208 Å; angles 103.76, 103.76, 59.98 degrees
Fractional positions:
1 Li 0.0851 0.9149 0.5000
2 Li 0.9149 0.0851 0.0000
3 Co 0.1662 0.3357 0.7493
4 Co 0.3357 0.1662 0.2493
5 Co 0.5025 0.6636 0.7493
6 Co 0.6636 0.5025 0.2493
7 Co 0.8266 0.9963 0.7406
8 Co 0.9963 0.8266 0.2406
9 O 0.0303 0.1888 0.3414
10 O 0.1389 0.6334 0.6502
11 O 0.1888 0.0303 0.8414
12 O 0.2988 0.8061 0.1503
13 O 0.3569 0.5397 0.3441
14 O 0.4534 0.9660 0.6494
15 O 0.5397 0.3569 0.8441
16 O 0.6334 0.1389 0.1502
17 O 0.7057 0.8654 0.3443
18 O 0.8061 0.2988 0.6503
19 O 0.8654 0.7057 0.8443
20 O 0.9660 0.4534 0.1494

# 6
The following is a computed PXRD pattern of Ba2Ca2Mn3Tl2O10. It was derived from the GGA+U geometry in the Materials Project, using a wavelength of 1.5418 Å.
Neutral-atom scattering factors, no anomalous dispersion.

Main lines, in order of falling intensity (15 to 90 degrees two-theta):
| two_theta | intensity |
| --- | --- |
| 31.6 | 100 |
| 27.9 | 59 |
| 31.2 | 57 |
| 28.1 | 56 |
| 31.4 | 55 |
| 32.0 | 33 |
| 45.5 | 28 |
| 34.2 | 27 |
| 45.0 | 25 |
| 47.2 | 21 |

Cell and atoms:
Cell lengths 3.9874, 4.0283, 18.5771 Å; angles 83.92, 83.91, 90.00 degrees
Fractional positions:
1 Ba 0.0000 0.0000 0.0000
2 Ba 0.3080 0.2842 0.4156
3 Ca 0.0989 0.0965 0.8040
4 Ca 0.2057 0.1870 0.6164
5 Mn 0.5494 0.5513 0.8992
6 Mn 0.6511 0.6409 0.7103
7 Mn 0.7546 0.7319 0.5239
8 Tl 0.4331 0.3713 0.1418
9 Tl 0.8740 0.8406 0.2703
10 O 0.0581 0.5579 0.8813
11 O 0.1504 0.6399 0.7116
12 O 0.2455 0.7227 0.5425
13 O 0.3819 0.4807 0.2526
14 O 0.4906 0.5075 0.0203
15 O 0.5573 0.0591 0.8833
16 O 0.6497 0.1402 0.7117
17 O 0.7456 0.2238 0.5408
18 O 0.8095 0.7844 0.4146
19 O 0.9346 0.0862 0.1392

# 7
The following is a computed PXRD pattern of Sc2W5Se3O12. It was derived from the GGA+U geometry in the Materials Project, using a wavelength of 1.5418 Å.
Neutral-atom scattering factors, no anomalous dispersion.

Main lines, in order of falling intensity (15 to 90 degrees two-theta):
| two_theta | intensity |
| --- | --- |
| 25.1 | 100 |
| 28.3 | 70 |
| 25.6 | 50 |
| 30.0 | 40 |
| 36.4 | 35 |
| 25.7 | 35 |
| 35.4 | 33 |
| 35.5 | 33 |
| 31.4 | 29 |
| 37.5 | 25 |

Cell and atoms:
Cell lengths 7.5455, 10.2936, 10.9075 Å; angles 85.27, 73.54, 87.25 degrees
Fractional positions:
1 Sc 0.0000 0.0000 0.0000
2 Sc 0.0291 0.4635 0.9862
3 Sc 0.3230 0.6627 0.3140
4 Sc 0.7173 0.3005 0.6156
5 W 0.3093 0.7433 0.5727
6 W 0.3585 0.3327 0.5233
7 W 0.3718 0.8655 0.8080
8 W 0.4050 0.0489 0.4628
9 W 0.4704 0.5723 0.7725
10 W 0.6004 0.4400 0.1546
11 W 0.6331 0.1364 0.1235
12 W 0.6472 0.5865 0.4174
13 W 0.7502 0.8580 0.4877
14 W 0.8203 0.1868 0.3527
15 Se 0.0799 0.4122 0.3063
16 Se 0.1626 0.9893 0.2704
17 Se 0.3354 0.2066 0.8709
18 Se 0.7612 0.7312 0.0582
19 Se 0.8729 0.9989 0.7081
20 Se 0.9872 0.5256 0.6595
21 O 0.0759 0.5732 0.3500
22 O 0.1205 0.2754 0.9289
23 O 0.1376 0.4327 0.1422
24 O 0.1673 0.0402 0.1153
25 O 0.2276 0.8295 0.2461
26 O 0.2365 0.5303 0.6083
27 O 0.2443 0.0570 0.8486
28 O 0.3148 0.9356 0.6271
29 O 0.4125 0.2739 0.7110
30 O 0.4467 0.7020 0.8973
31 O 0.4484 0.4708 0.3556
32 O 0.4593 0.0358 0.2728
33 O 0.6249 0.4915 0.6040
34 O 0.6268 0.6467 0.2121
35 O 0.6320 0.3069 0.0290
36 O 0.7132 0.8852 0.6835
37 O 0.7303 0.1356 0.7335
38 O 0.8143 0.8703 0.1177
39 O 0.8287 0.4064 0.3543
40 O 0.8695 0.9503 0.8633
41 O 0.8844 0.9755 0.3372
42 O 0.9438 0.5022 0.8217
43 O 0.9729 0.6555 0.0300
44 O 0.9791 0.3687 0.6103

# 8
The following is a computed PXRD pattern of Li4Nb3Fe3Sb2O16. It was derived from the GGA+U geometry in the Materials Project, using a wavelength of 1.5418 Å.
Neutral-atom scattering factors, no anomalous dispersion.

Main lines, in order of falling intensity (15 to 90 degrees two-theta):
| two_theta | intensity |
| --- | --- |
| 18.5 | 100 |
| 16.8 | 70 |
| 30.3 | 47 |
| 33.3 | 42 |
| 33.6 | 42 |
| 23.6 | 37 |
| 34.3 | 34 |
| 18.7 | 24 |
| 30.4 | 24 |
| 55.4 | 22 |

Cell and atoms:
Cell lengths 6.1558, 6.2259, 10.5555 Å; angles 89.26, 89.78, 61.08 degrees
Fractional positions:
1 Li 0.0000 0.0000 0.0000
2 Li 0.0014 0.9991 0.5160
3 Li 0.3290 0.3389 0.1038
4 Li 0.6603 0.6761 0.6138
5 Nb 0.1773 0.6481 0.7722
6 Nb 0.3414 0.8206 0.2839
7 Nb 0.8384 0.8211 0.2842
8 Fe 0.1758 0.1641 0.7874
9 Fe 0.6614 0.1630 0.7873
10 Fe 0.8347 0.3304 0.2978
11 Sb 0.3576 0.2822 0.5064
12 Sb 0.6799 0.6478 0.9795
13 O 0.0066 0.9907 0.1848
14 O 0.0168 0.9851 0.6949
15 O 0.0181 0.4990 0.6775
16 O 0.1388 0.7172 0.3951
17 O 0.1718 0.1310 0.4070
18 O 0.3092 0.3583 0.8945
19 O 0.3261 0.8414 0.8932
20 O 0.4642 0.0396 0.6582
21 O 0.4781 0.5048 0.6772
22 O 0.4868 0.5249 0.1923
23 O 0.5097 0.9842 0.1864
24 O 0.6515 0.6928 0.3963
25 O 0.6984 0.1286 0.4090
26 O 0.8452 0.8326 0.8965
27 O 0.8582 0.3116 0.8946
28 O 0.9836 0.5268 0.1897